# 1
Starting from a PBE-relaxed structure, the X-ray powder pattern of K2P2O5F2 was computed for Cu Ka.
Intensities are scaled so that the largest is 100.

abc: 7.5798 7.5798 7.3534
angles: 90.53 90.53 61.80
Element x y z (fractional)
K1 0.0036 0.7166 0.8583
K2 0.2834 0.9964 0.6417
K3 0.7166 0.0036 0.3583
K4 0.9964 0.2834 0.1417
P1 0.1973 0.6107 0.3534
P2 0.3893 0.8027 0.1466
P3 0.6107 0.1973 0.8534
P4 0.8027 0.3893 0.6466
O1 0.0418 0.6214 0.2205
O2 0.1351 0.7439 0.5175
O3 0.2561 0.8649 0.9825
O4 0.3786 0.9582 0.2795
O5 0.3820 0.6180 0.2500
O6 0.6180 0.3820 0.7500
O7 0.6214 0.0418 0.7205
O8 0.7439 0.1351 0.0175
O9 0.8649 0.2561 0.4825
O10 0.9582 0.3786 0.7795
F1 0.3211 0.3834 0.4189
F2 0.3834 0.3211 0.9189
F3 0.6166 0.6789 0.0811
F4 0.6789 0.6166 0.5811

Principal peaks in the range 15 to 90 degrees two-theta, by angle:
| d/Å | I_rel |
| --- | --- |
| 4.943 | 57 |
| 3.893 | 50 |
| 3.440 | 84 |
| 3.252 | 87 |
| 3.215 | 100 |
| 3.186 | 65 |
| 3.035 | 50 |
| 2.357 | 25 |
| 2.227 | 26 |
| 1.971 | 31 |

# 2
Starting from a PBE-relaxed structure, the X-ray powder pattern of K2Al2O3F2 was computed for Cu Ka.
Intensities are scaled so that the largest is 100.

abc: 7.0348 7.0348 6.2133
angles: 91.28 91.28 72.01
Element x y z (fractional)
K1 0.0989 0.0989 0.2421
K2 0.3372 0.3372 0.8369
K3 0.6628 0.6628 0.1631
K4 0.9011 0.9011 0.7579
Al1 0.1740 0.5746 0.3564
Al2 0.4254 0.8260 0.6436
Al3 0.5746 0.1740 0.3564
Al4 0.8260 0.4254 0.6436
O1 0.0000 0.5000 0.5000
O2 0.2379 0.7621 0.5000
O3 0.3752 0.3752 0.2674
O4 0.5000 0.0000 0.5000
O5 0.6248 0.6248 0.7326
O6 0.7621 0.2379 0.5000
F1 0.0541 0.6841 0.1168
F2 0.3159 0.9459 0.8832
F3 0.6841 0.0541 0.1168
F4 0.9459 0.3159 0.8832

Principal peaks in the range 15 to 90 degrees two-theta, by angle:
| d/Å | I_rel |
| --- | --- |
| 3.444 | 70 |
| 3.047 | 24 |
| 2.983 | 20 |
| 2.965 | 77 |
| 2.925 | 100 |
| 2.844 | 63 |
| 2.834 | 26 |
| 2.483 | 49 |
| 2.110 | 29 |
| 2.068 | 49 |

# 3
Starting from a PBE-relaxed structure, the X-ray powder pattern of CeTlInPb was computed for Cu Ka.
Intensities are scaled so that the largest is 100.

abc: 4.7073 4.7521 4.9737
angles: 90.00 90.00 90.00
Element x y z (fractional)
Ce1 0.0000 0.0000 0.0000
Tl1 0.5000 0.0000 0.5000
In1 0.0000 0.5000 0.5000
Pb1 0.5000 0.5000 0.0000

Principal peaks in the range 15 to 90 degrees two-theta, by angle:
| d/Å | I_rel |
| --- | --- |
| 2.775 | 100 |
| 2.487 | 19 |
| 2.376 | 16 |
| 2.354 | 16 |
| 1.718 | 12 |
| 1.709 | 12 |
| 1.485 | 15 |
| 1.437 | 14 |
| 1.427 | 13 |
| 1.388 | 12 |